Calculated PXRD pattern of HoMn4Cu3O12 for Cu Kα (λ = 1.5418 Å), from the PBE+U geometry in Alexandria.
Lines closer than 0.1° are merged.

Structural model:
```
data_HoMn4Cu3O12
_cell_length_a 7.4044
_cell_length_b 7.4044
_cell_length_c 7.4044
_cell_angle_alpha 90.00
_cell_angle_beta 90.00
_cell_angle_gamma 90.00
_symmetry_space_group_name_H-M 'I m -3'
_symmetry_Int_Tables_number 204
_symmetry_space_group_name_Hall '-I 2 2 3'
loop_
_atom_site_label
_atom_site_fract_x
_atom_site_fract_y
_atom_site_fract_z
_atom_site_occupancy
Ho1 0.0000 0.0000 0.0000 1
Mn1 0.2500 0.2500 0.2500 1
Cu1 0.0000 0.0000 0.5000 1
O1 0.0000 0.3020 0.1692 1
```

Most intense lines, 2θ from 15° to 90°, sorted by position:
| index | 2θ/deg | I/Imax |
| --- | --- | --- |
| 1 1 0 | 16.93 | 17 |
| 2 2 0 | 34.25 | 100 |
| 4 0 0 | 49.22 | 25 |
| 4 2 2 | 61.34 | 47 |
| 4 4 0 | 72.17 | 12 |
| 6 2 0 | 82.37 | 16 |